Structure and theoretical powder X-ray diffraction pattern of PrSi2PtAu2 (a structure optimized by DFT (GGA-PBE); Cu Ka).
Neutral-atom scattering factors, no anomalous dispersion.

Most intense lines, 5° ≤ 2θ ≤ 70°, in order of rising 2θ:
2θ/deg  Rel. int.  index
24.83  45  0 0 4
31.80  100  1 1 2
41.75  30  2 0 0
48.32  39  1 1 6
49.19  30  2 0 4
60.52  10  2 2 0
66.44  12  2 2 4
67.90  12  2 0 8

```
data_PrSi2PtAu2
_cell_length_a 4.3269
_cell_length_b 4.3269
_cell_length_c 14.3433
_cell_angle_alpha 90.00
_cell_angle_beta 90.00
_cell_angle_gamma 90.00
_space_group_name_H-M_alt 'I 4/m m m'
_space_group_IT_number 139
_space_group_name_Hall '-I 4 2'
loop_
_atom_site_label
_atom_site_type_symbol
_atom_site_fract_x
_atom_site_fract_y
_atom_site_fract_z
Pr1 Pr 0.0000 0.0000 0.0000
Si1 Si 0.0000 0.0000 0.3394
Pt1 Pt 0.0000 0.0000 0.5000
Au1 Au 0.0000 0.5000 0.2500
```